Starting from the GGA-PBE geometry in Alexandria, the powder diffraction line list of Tm3UBi4 was computed for Cu Kα, 1.54184 Å.
Intensities are scaled so that the largest is 100.

Peak list (8 most intense, 2θ from 10° to 80°, by angle)
2theta, I/Imax
28.4, 100
40.3, 13
40.6, 52
40.7, 13
50.0, 14
50.4, 14
66.5, 25
74.0, 14

Cell and atoms:
```
Tm3UBi4
1.0
8.9501 0.0000 0.0000
0.0000 12.5688 0.0000
0.0000 0.0000 4.4319
Tm U Bi
6 2 8
Direct
0.0000 0.0000 0.0000
0.2500 0.2500 0.5000
0.2500 0.7500 0.5000
0.5000 0.5000 0.0000
0.7500 0.2500 0.5000
0.7500 0.7500 0.5000
0.0000 0.5000 0.0000
0.5000 0.0000 0.0000
0.0000 0.2488 0.0000
0.0000 0.7512 0.0000
0.2451 0.0000 0.5000
0.2549 0.5000 0.5000
0.5000 0.2512 0.0000
0.5000 0.7488 0.0000
0.7451 0.5000 0.5000
0.7549 0.0000 0.5000
```

***

Starting from the GGA-PBE geometry in Alexandria, the powder diffraction line list of CaBeAs2 was computed for Cu Kα, 1.54184 Å.
Intensities are scaled so that the largest is 100.

Peak list (8 most intense, 2θ from 10° to 80°, by angle)
2theta, I/Imax
25.7, 46
26.4, 33
31.6, 100
33.9, 94
37.2, 87
47.0, 53
48.4, 39
57.8, 32

Cell and atoms:
```
CaBeAs2
1.0
0.0000 10.3881 2.7291
2.7346 0.0000 2.7291
2.7346 10.3881 0.0000
Ca Be As
2 2 4
Direct
0.1138 0.8862 0.1138
0.8862 0.1138 0.8862
0.2502 0.2502 0.2498
0.7502 0.7502 0.7498
0.3154 0.6849 0.3151
0.5072 0.9623 0.4928
0.6849 0.3154 0.6846
0.9623 0.5072 0.0377
```

***

Starting from the GGA-PBE geometry in Alexandria, the powder diffraction line list of Ca2DyTe3 was computed for Cu Kα, 1.54184 Å.
Intensities are scaled so that the largest is 100.

Peak list (8 most intense, 2θ from 10° to 80°, by angle)
2theta, I/Imax
28.4, 100
40.5, 38
40.6, 37
50.3, 20
58.7, 12
66.3, 17
66.6, 17
73.8, 12

Cell and atoms:
```
Ca2DyTe3
1.0
3.8448 -6.6592 0.0000
3.8448 6.6592 0.0000
-2.5581 0.0000 7.2941
Ca Dy Te
4 2 6
Direct
0.0000 0.0000 0.0000
0.1654 0.8346 0.5000
0.5000 0.5000 0.5000
0.8346 0.1654 0.5000
0.3333 0.6667 0.0000
0.6667 0.3333 0.0000
0.0821 0.4190 0.2458
0.2554 0.2554 0.7553
0.4190 0.0821 0.2458
0.5810 0.9179 0.7542
0.7446 0.7446 0.2447
0.9179 0.5810 0.7542
```

***

Starting from the GGA-PBE geometry in Alexandria, the powder diffraction line list of Rb4Ag3HgF12 was computed for Cu Kα, 1.54184 Å.
Intensities are scaled so that the largest is 100.

Peak list (8 most intense, 2θ from 10° to 80°, by angle)
2theta, I/Imax
19.8, 14
28.2, 100
40.3, 37
45.2, 6
49.8, 41
58.2, 23
65.9, 18
73.2, 7

Cell and atoms:
```
Rb4Ag3HgF12
1.0
-4.4812 4.4812 4.4812
4.4812 -4.4812 4.4812
4.4812 4.4812 -4.4812
Rb Ag Hg F
4 3 1 12
Direct
0.0000 0.0000 0.5000
0.0000 0.5000 0.0000
0.5000 0.0000 0.0000
0.5000 0.5000 0.5000
0.0000 0.5000 0.5000
0.5000 0.0000 0.5000
0.5000 0.5000 0.0000
0.0000 0.0000 0.0000
0.0000 0.2531 0.2531
0.0000 0.7469 0.7469
0.2500 0.5000 0.7500
0.2500 0.7500 0.5000
0.2531 0.0000 0.2531
0.2531 0.2531 0.0000
0.5000 0.2500 0.7500
0.5000 0.7500 0.2500
0.7469 0.0000 0.7469
0.7469 0.7469 0.0000
0.7500 0.2500 0.5000
0.7500 0.5000 0.2500
```